# 1
# Na17Al5O16
Simulated XRD peak list, copper Kα. Input: DFT lattice parameters and positions (GGA-PBE).

The 6 most intense peaks (10° ≤ 2θ ≤ 90°), by angle:
| Position (°2θ) | I/Imax | index |
| --- | --- | --- |
| 21.7 | 12 | 1 5 -1 |
| 34.3 | 100 | 2 0 0 |
| 38.0 | 16 | 0 6 2 |
| 38.1 | 17 | 2 6 -2 |
| 42.3 | 48 | 1 11 -2 |
| 61.4 | 23 | 0 22 0 |

Structure:
Cell: 6.0294 33.2380 6.0348 Å, 90.00 119.72 90.00°
Space group Cm (No. 8)
Inequivalent atoms, fractional coordinates:
Na  0.0000  0.0460  0.0000 (multiplicity 4)
Na  0.0004  0.1373  0.0251 (multiplicity 4)
Na  0.0350  0.4116  0.4174 (multiplicity 4)
Na  0.0355  0.5000  0.1238 (multiplicity 2)
Na  0.0399  0.3237  0.1477 (multiplicity 4)
Na  0.0667  0.0460  0.5321 (multiplicity 4)
Na  0.0680  0.1379  0.5541 (multiplicity 4)
Na  0.0949  0.2293  0.5606 (multiplicity 4)
Na  0.4836  0.2752  0.9874 (multiplicity 4)
Al  0.0321  0.5000  0.6074 (multiplicity 2)
Al  0.0332  0.4097  0.9358 (multiplicity 4)
Al  0.0339  0.3198  0.6198 (multiplicity 4)
O  0.0334  0.3705  0.7329 (multiplicity 4)
O  0.0337  0.4567  0.7866 (multiplicity 4)
O  0.0429  0.2838  0.8434 (multiplicity 4)
O  0.2466  0.0000  0.3106 (multiplicity 2)
O  0.2472  0.1861  0.3233 (multiplicity 4)
O  0.2503  0.0933  0.9533 (multiplicity 4)
O  0.3151  0.3147  0.5963 (multiplicity 4)
O  0.3146  0.5000  0.5886 (multiplicity 2)
O  0.3160  0.4068  0.2343 (multiplicity 4)


# 2
# Cs3TlF6
Simulated XRD peak list, copper Kα. Input: DFT lattice parameters and positions (GGA-PBE).

The 6 most intense peaks (10° ≤ 2θ ≤ 90°), by angle:
| Position (°2θ) | I/Imax | index |
| --- | --- | --- |
| 24.8 | 100 | 1 1 2 |
| 25.1 | 73 | 2 0 0 |
| 34.8 | 19 | 0 0 4 |
| 35.8 | 23 | 2 2 0 |
| 43.4 | 32 | 2 0 4 |
| 44.0 | 52 | 3 1 2 |

Structure:
Cell: 7.0994 7.0994 10.3138 Å, 90.00 90.00 90.00°
Space group I4/mmm (No. 139)
Inequivalent atoms, fractional coordinates:
Cs  0.0000  0.0000  0.0000 (multiplicity 2)
Cs  0.0000  0.5000  0.2500 (multiplicity 4)
Tl  0.0000  0.0000  0.5000 (multiplicity 2)
F  0.0000  0.0000  0.2770 (multiplicity 4)
F  0.0000  0.3059  0.5000 (multiplicity 8)


# 3
# Th2Fe17C
Simulated XRD peak list, copper Kα. Input: DFT lattice parameters and positions (GGA-PBE).

The 6 most intense peaks (10° ≤ 2θ ≤ 90°), by angle:
| Position (°2θ) | I/Imax | index |
| --- | --- | --- |
| 29.8 | 64 | 3 1 0 |
| 36.0 | 45 | 1 3 1 |
| 41.6 | 69 | 2 2 2 |
| 42.0 | 61 | 0 4 0 |
| 42.3 | 100 | 3 3 0 |
| 43.7 | 65 | 4 0 -2 |

Structure:
Cell: 9.7000 8.6117 6.4995 Å, 90.00 98.13 90.00°
Space group C2/m (No. 12)
Inequivalent atoms, fractional coordinates:
Th  0.1652  0.0000  0.3552 (multiplicity 4)
Fe  0.0000  0.2160  0.0000 (multiplicity 4)
Fe  0.0000  0.5000  0.5000 (multiplicity 2)
Fe  0.0959  0.2537  0.6574 (multiplicity 8)
Fe  0.0956  0.5000  0.9041 (multiplicity 4)
Fe  0.1406  0.3575  0.2816 (multiplicity 8)
Fe  0.1571  0.0000  0.8507 (multiplicity 4)
Fe  0.2500  0.2500  0.0000 (multiplicity 4)
C  0.0000  0.0000  0.0000 (multiplicity 2)


# 4
# In2GeB
Simulated XRD peak list, copper Kα. Input: DFT lattice parameters and positions (GGA-PBE).

The 6 most intense peaks (10° ≤ 2θ ≤ 90°), by angle:
| Position (°2θ) | I/Imax | index |
| --- | --- | --- |
| 22.5 | 11 | 1 1 1 |
| 26.1 | 28 | 2 0 0 |
| 37.2 | 100 | 2 2 0 |
| 53.7 | 17 | 4 0 0 |
| 60.6 | 10 | 4 2 0 |
| 67.1 | 34 | 4 2 2 |

Structure:
Cell: 6.8316 6.8316 6.8316 Å, 90.00 90.00 90.00°
Space group Fm-3m (No. 225)
Inequivalent atoms, fractional coordinates:
In  0.2500  0.2500  0.2500 (multiplicity 8)
Ge  0.0000  0.0000  0.0000 (multiplicity 4)
B  0.0000  0.0000  0.5000 (multiplicity 4)


# 5
# Cs2SbCl6
Simulated XRD peak list, copper Kα. Input: DFT lattice parameters and positions (GGA-PBE).

The 6 most intense peaks (10° ≤ 2θ ≤ 90°), by angle:
| Position (°2θ) | I/Imax | index |
| --- | --- | --- |
| 14.3 | 44 | 1 1 1 |
| 23.4 | 100 | 2 2 0 |
| 28.8 | 54 | 2 2 2 |
| 33.4 | 75 | 4 0 0 |
| 41.2 | 45 | 4 2 2 |
| 47.9 | 50 | 4 4 0 |

Structure:
Cell: 10.7329 10.7329 10.7329 Å, 90.00 90.00 90.00°
Space group Fm-3m (No. 225)
Inequivalent atoms, fractional coordinates:
Cs  0.2500  0.2500  0.2500 (multiplicity 8)
Sb  0.0000  0.0000  0.0000 (multiplicity 4)
Cl  0.0000  0.0000  0.2377 (multiplicity 24)


# 6
# AgPO3
Simulated XRD peak list, copper Kα. Input: DFT lattice parameters and positions (GGA-PBE).

The 6 most intense peaks (10° ≤ 2θ ≤ 90°), by angle:
| Position (°2θ) | I/Imax | index |
| --- | --- | --- |
| 25.1 | 21 | 1 0 -4 |
| 26.1 | 23 | 0 1 3 |
| 28.3 | 100 | 2 0 -4 |
| 28.6 | 19 | 2 1 -1 |
| 31.9 | 29 | 1 2 -1 |
| 35.3 | 21 | 1 2 -3 |

Structure:
Cell: 7.5029 6.0536 14.2041 Å, 90.00 119.16 90.00°
Space group P2_1/c (No. 14)
Inequivalent atoms, fractional coordinates:
Ag  0.0009  0.1604  0.1243 (multiplicity 4)
Ag  0.2347  0.0887  0.4665 (multiplicity 4)
P  0.2410  0.6800  0.2248 (multiplicity 4)
P  0.4327  0.6138  0.6113 (multiplicity 4)
O  0.1182  0.6530  0.7476 (multiplicity 4)
O  0.1301  0.5305  0.1276 (multiplicity 4)
O  0.2454  0.0268  0.0456 (multiplicity 4)
O  0.3649  0.5373  0.3333 (multiplicity 4)
O  0.4287  0.7013  0.7185 (multiplicity 4)
O  0.4785  0.6996  0.0567 (multiplicity 4)